# 1
For TbPa4Ge5, DFT lattice parameters and positions (PBE) gives the simulated XRD peak list in this record (Cu Kα X-rays).
Intensities are scaled so that the largest is 100.

Largest 10 diffraction maxima, by angle, 10 to 90 degrees two-theta:
| d (Å) | I (rel.) | (hkl) |
| --- | --- | --- |
| 3.382 | 43 | 1 1 0 |
| 2.929 | 100 | 1 0 5 |
| 2.072 | 63 | 2 0 0 |
| 1.766 | 22 | 1 1 10 |
| 1.693 | 14 | 2 2 0 |
| 1.689 | 13 | 0 2 10 |
| 1.465 | 13 | 0 4 0 |
| 1.310 | 29 | 2 2 10 |
| 1.197 | 13 | 3 2 5 |
| 1.195 | 13 | 0 4 10 |

Cell and atoms:
Unit cell a=4.1498 b=5.8547 c=20.6860 alpha=90.00 beta=90.00 gamma=90.00
Space group Immm (No. 71)
Inequivalent atoms, fractional coordinates:
Tb  0.0000  0.0000  0.0000
Pa  0.0000  0.0000  0.1998
Pa  0.0000  0.0000  0.4006
Ge  0.0000  0.5000  0.0000
Ge  0.0000  0.5000  0.1995
Ge  0.0000  0.5000  0.3978


# 2
For TmGeBr5, DFT lattice parameters and positions (PBE) gives the simulated XRD peak list in this record (Cu Kα X-rays).
Intensities are scaled so that the largest is 100.

Largest 10 diffraction maxima, by angle, 10 to 90 degrees two-theta:
| d (Å) | I (rel.) | (hkl) |
| --- | --- | --- |
| 6.741 | 55 | 1 1 -1 |
| 5.015 | 33 | 0 2 0 |
| 4.926 | 100 | 1 1 1 |
| 4.552 | 81 | 2 0 -2 |
| 3.139 | 56 | 1 3 -1 |
| 2.904 | 44 | 3 1 -3 |
| 2.827 | 79 | 2 0 2 |
| 2.508 | 35 | 0 4 0 |
| 2.247 | 52 | 3 3 -3 |
| 2.101 | 36 | 3 3 1 |

Cell and atoms:
Unit cell a=10.7054 b=10.0305 c=10.7274 alpha=90.00 beta=116.31 gamma=90.00
Space group C2/c (No. 15)
Inequivalent atoms, fractional coordinates:
Tm  0.2500  0.2500  0.0000
Ge  0.0000  0.0751  0.2500
Br  0.0000  0.2485  0.7500
Br  0.0977  0.2682  0.1528
Br  0.2396  0.0221  0.4989


# 3
For Tb7Cd2Te2, DFT lattice parameters and positions (PBE) gives the simulated XRD peak list in this record (Cu Kα X-rays).
Intensities are scaled so that the largest is 100.

Largest 10 diffraction maxima, by angle, 10 to 90 degrees two-theta:
| d (Å) | I (rel.) | (hkl) |
| --- | --- | --- |
| 3.617 | 44 | 2 0 1 |
| 3.300 | 49 | 1 1 2 |
| 3.283 | 49 | 2 2 0 |
| 2.732 | 62 | 0 4 0 |
| 2.509 | 56 | 1 3 2 |
| 2.489 | 100 | 2 2 2 |
| 2.180 | 19 | 2 4 1 |
| 2.053 | 19 | 4 0 0 |
| 1.642 | 21 | 4 4 0 |
| 1.526 | 18 | 2 6 2 |

Cell and atoms:
Unit cell a=8.2136 b=10.9285 c=7.6334 alpha=90.00 beta=90.00 gamma=90.00
Space group Cmmm (No. 65)
Inequivalent atoms, fractional coordinates:
Tb  0.0000  0.0000  0.0000
Tb  0.0000  0.5000  0.2693
Tb  0.2500  0.2500  0.2811
Cd  0.1719  0.0000  0.5000
Te  0.0000  0.2819  0.0000


# 4
For Ho2MgTl2Pb5, DFT lattice parameters and positions (PBE) gives the simulated XRD peak list in this record (Cu Kα X-rays).
Intensities are scaled so that the largest is 100.

Largest 10 diffraction maxima, by angle, 10 to 90 degrees two-theta:
| d (Å) | I (rel.) | (hkl) |
| --- | --- | --- |
| 3.648 | 15 | 2 0 1 |
| 2.850 | 100 | 3 1 1 |
| 2.713 | 46 | 4 1 0 |
| 2.636 | 18 | 3 3 0 |
| 2.607 | 52 | 3 2 1 |
| 2.407 | 33 | 0 0 2 |
| 1.800 | 28 | 4 1 2 |
| 1.660 | 19 | 6 2 1 |
| 1.464 | 15 | 7 2 1 |
| 1.461 | 16 | 3 1 3 |

Cell and atoms:
Unit cell a=11.1840 b=11.1840 c=4.8141 alpha=90.00 beta=90.00 gamma=90.00
Space group P4/mbm (No. 127)
Inequivalent atoms, fractional coordinates:
Ho  0.1241  0.3759  0.0000
Mg  0.0000  0.0000  0.0000
Tl  0.1763  0.6763  0.0000
Pb  0.0000  0.5000  0.5000
Pb  0.0760  0.1903  0.5000


# 5
For NdZr4S8, DFT lattice parameters and positions (PBE) gives the simulated XRD peak list in this record (Cu Kα X-rays).
Intensities are scaled so that the largest is 100.

Largest 10 diffraction maxima, by angle, 10 to 90 degrees two-theta:
| d (Å) | I (rel.) | (hkl) |
| --- | --- | --- |
| 6.692 | 39 | 0 0 3 |
| 6.038 | 24 | 1 0 1 |
| 5.355 | 20 | 0 1 2 |
| 3.019 | 14 | 2 0 2 |
| 2.678 | 100 | 0 2 4 |
| 1.967 | 37 | 2 0 8 |
| 1.828 | 31 | 2 2 0 |
| 1.510 | 16 | 4 0 4 |
| 1.234 | 15 | 2 2 12 |
| 1.164 | 14 | 2 4 4 |

Cell and atoms:
Unit cell a=7.3110 b=7.3110 c=20.0754 alpha=90.00 beta=90.00 gamma=120.00
Space group R-3m (No. 166, hexagonal axes)
Inequivalent atoms, fractional coordinates:
Nd  0.0000  0.0000  0.0000
Zr  0.0000  0.0000  0.5000
Zr  0.0000  0.5000  0.5000
S  0.0000  0.0000  0.2400
S  0.0058  0.5029  0.2437


# 6
For Cu4As2H, DFT lattice parameters and positions (PBE) gives the simulated XRD peak list in this record (Cu Kα X-rays).
Intensities are scaled so that the largest is 100.

Largest 10 diffraction maxima, by angle, 10 to 90 degrees two-theta:
| d (Å) | I (rel.) | (hkl) |
| --- | --- | --- |
| 3.322 | 13 | 2 0 0 |
| 2.798 | 12 | 3 1 -1 |
| 2.562 | 43 | 1 3 0 |
| 2.349 | 30 | 4 0 -2 |
| 2.101 | 80 | 2 0 -3 |
| 2.029 | 100 | 1 3 1 |
| 1.535 | 10 | 1 3 -3 |
| 1.394 | 21 | 5 3 -1 |
| 1.199 | 11 | 1 3 -4 |
| 1.158 | 13 | 2 6 -3 |

Cell and atoms:
Unit cell a=9.3919 b=8.3301 c=6.6378 alpha=90.00 beta=134.94 gamma=90.00
Space group C2 (No. 5)
Inequivalent atoms, fractional coordinates:
Cu  0.0626  0.0000  0.3262
Cu  0.0833  0.3789  0.3708
Cu  0.2142  0.1916  0.7979
Cu  0.2380  0.5698  0.8005
As  0.0905  0.6844  0.3279
As  0.2363  0.3853  0.1462
H  0.0000  0.0346  0.0000
H  0.0000  0.2835  0.5000


# 7
For SrAcPBr, DFT lattice parameters and positions (PBE) gives the simulated XRD peak list in this record (Cu Kα X-rays).
Intensities are scaled so that the largest is 100.

Largest 10 diffraction maxima, by angle, 10 to 90 degrees two-theta:
| d (Å) | I (rel.) | (hkl) |
| --- | --- | --- |
| 7.927 | 31 | 0 0 3 |
| 3.727 | 63 | 1 0 1 |
| 3.186 | 66 | 1 0 4 |
| 2.956 | 100 | 0 1 5 |
| 2.525 | 16 | 1 0 7 |
| 2.179 | 49 | 1 1 0 |
| 2.012 | 22 | 1 0 10 |
| 1.754 | 22 | 2 0 5 |
| 1.681 | 22 | 1 1 9 |
| 1.366 | 19 | 1 2 5 |

Cell and atoms:
Unit cell a=4.3572 b=4.3572 c=23.7808 alpha=90.00 beta=90.00 gamma=120.00
Space group R3m (No. 160, hexagonal axes)
Inequivalent atoms, fractional coordinates:
Sr  0.0000  0.0000  0.0000
Ac  0.0000  0.0000  0.8052
P  0.0000  0.0000  0.4007
Br  0.0000  0.0000  0.5729


# 8
For Rb2SrAlGe2, DFT lattice parameters and positions (PBE) gives the simulated XRD peak list in this record (Cu Kα X-rays).
Intensities are scaled so that the largest is 100.

Largest 10 diffraction maxima, by angle, 10 to 90 degrees two-theta:
| d (Å) | I (rel.) | (hkl) |
| --- | --- | --- |
| 7.677 | 19 | 0 2 0 |
| 3.876 | 20 | 0 0 2 |
| 3.460 | 14 | 0 2 2 |
| 3.350 | 21 | 1 1 2 |
| 3.330 | 14 | 2 2 0 |
| 3.119 | 100 | 1 4 1 |
| 2.675 | 50 | 2 0 2 |
| 2.433 | 14 | 3 1 0 |
| 2.059 | 34 | 1 4 3 |
| 1.720 | 17 | 0 8 2 |

Cell and atoms:
Unit cell a=7.3926 b=15.3535 c=7.7527 alpha=90.00 beta=90.00 gamma=90.00
Space group Ibam (No. 72)
Inequivalent atoms, fractional coordinates:
Rb  0.2066  0.1886  0.0000
Sr  0.0000  0.5000  0.2500
Al  0.0000  0.0000  0.2500
Ge  0.1917  0.0682  0.5000


# 9
For HfThSe4, DFT lattice parameters and positions (PBE) gives the simulated XRD peak list in this record (Cu Kα X-rays).
Intensities are scaled so that the largest is 100.

Largest 10 diffraction maxima, by angle, 10 to 90 degrees two-theta:
| d (Å) | I (rel.) | (hkl) |
| --- | --- | --- |
| 4.613 | 100 | 1 1 -1 |
| 3.475 | 40 | 1 1 1 |
| 3.061 | 15 | 0 1 2 |
| 2.966 | 16 | 2 1 -2 |
| 2.437 | 19 | 3 1 -1 |
| 2.389 | 19 | 1 1 -3 |
| 2.373 | 34 | 2 2 0 |
| 2.350 | 31 | 0 2 2 |
| 2.307 | 28 | 2 2 -2 |
| 2.075 | 16 | 2 0 2 |

Cell and atoms:
Unit cell a=7.9728 b=6.3554 c=7.8046 alpha=90.00 beta=116.51 gamma=90.00
Space group P2_1/c (No. 14)
Inequivalent atoms, fractional coordinates:
Hf  0.0000  0.0000  0.0000
Th  0.5000  0.0000  0.5000
Se  0.1512  0.2411  0.3149
Se  0.3055  0.7274  0.6476